Record 1
AcSm2PtO8: calculated X-ray diffraction stick pattern (Cu Kα, 1.54184 Å), based on the GGA-PBE geometry in Alexandria.

Peak list (10 most intense, 10° ≤ 2θ ≤ 90°, low angle first)
d (Å)  2θ/deg  I/Imax
3.455  25.79  611
3.406  26.16  594
3.015  29.62  1000
2.800  31.97  526
2.724  32.88  263
2.208  40.88  260
1.961  46.29  350
1.943  46.74  318
1.788  51.08  214
1.774  51.50  210

Atomic structure:
```
data_AcSm2PtO8
_chemical_formula_sum 'Ac1 Sm2 Pt1 O8'
_cell_length_a 4.416
_cell_length_b 5.449
_cell_length_c 7.241
_cell_angle_alpha 90.08
_cell_angle_beta 90.04
_cell_angle_gamma 90.83
_space_group_name_H-M_alt 'P 1'
_space_group_IT_number 1
loop_
_space_group_symop_operation_xyz
'x,y,z'
loop_
_atom_site_label
_atom_site_fract_x
_atom_site_fract_y
_atom_site_fract_z
Ac1 0.000 0.000 0.000
Sm1 0.499 0.499 0.755
Sm2 0.501 0.501 0.245
Pt1 0.000 0.000 0.500
O1 0.036 0.743 0.297
O2 0.036 0.743 0.703
O3 0.420 0.116 0.500
O4 0.485 0.257 0.000
O5 0.515 0.743 0.000
O6 0.580 0.884 0.500
O7 0.964 0.257 0.297
O8 0.964 0.257 0.703
```

---

Record 2
SrAc2PtO5: calculated X-ray diffraction stick pattern (Cu Kα, 1.54184 Å), based on the GGA-PBE geometry in Alexandria.

Peak list (10 most intense, 10° ≤ 2θ ≤ 90°, low angle first)
d (Å)  2θ/deg  I/Imax
5.007  17.71  253
3.154  28.30  436
3.088  28.92  1000
3.072  29.07  574
2.530  35.48  542
2.504  35.87  212
2.110  42.85  266
1.973  45.99  267
1.808  50.48  220
1.703  53.84  289

Atomic structure:
```
data_SrAc2PtO5
_chemical_formula_sum 'Sr2 Ac4 Pt2 O10'
_cell_length_a 8.054
_cell_length_b 8.054
_cell_length_c 8.054
_cell_angle_alpha 127.84
_cell_angle_beta 127.84
_cell_angle_gamma 76.89
_space_group_name_H-M_alt 'P 1'
_space_group_IT_number 1
loop_
_space_group_symop_operation_xyz
'x,y,z'
loop_
_atom_site_label
_atom_site_fract_x
_atom_site_fract_y
_atom_site_fract_z
Sr1 0.250 0.250 0.000
Sr2 0.750 0.750 0.000
Ac1 0.174 0.674 0.849
Ac2 0.326 0.174 0.500
Ac3 0.674 0.826 0.500
Ac4 0.826 0.326 0.151
Pt1 0.250 0.750 0.500
Pt2 0.750 0.250 0.500
O1 0.000 0.000 0.000
O2 0.016 0.238 0.500
O3 0.238 0.738 0.222
O4 0.262 0.484 0.500
O5 0.484 0.984 0.222
O6 0.500 0.500 0.000
O7 0.516 0.016 0.778
O8 0.738 0.516 0.500
O9 0.762 0.262 0.778
O10 0.984 0.762 0.500
```

---

Record 3
Ac2TbPt3O12: calculated X-ray diffraction stick pattern (Cu Kα, 1.54184 Å), based on the GGA-PBE geometry in Alexandria.

Peak list (10 most intense, 10° ≤ 2θ ≤ 90°, low angle first)
d (Å)  2θ/deg  I/Imax
3.577  24.89  232
3.427  26.00  355
3.044  29.34  757
2.996  29.82  879
2.902  30.81  1000
1.933  47.02  264
1.908  47.67  331
1.788  51.07  446
1.714  53.48  316
1.523  60.83  260

Atomic structure:
```
data_Ac2TbPt3O12
_chemical_formula_sum 'Ac2 Tb1 Pt3 O12'
_cell_length_a 6.866
_cell_length_b 6.866
_cell_length_c 6.866
_cell_angle_alpha 62.79
_cell_angle_beta 62.79
_cell_angle_gamma 62.79
_space_group_name_H-M_alt 'P 1'
_space_group_IT_number 1
loop_
_space_group_symop_operation_xyz
'x,y,z'
loop_
_atom_site_label
_atom_site_fract_x
_atom_site_fract_y
_atom_site_fract_z
Ac1 0.117 0.117 0.117
Ac2 0.883 0.883 0.883
Tb1 0.500 0.500 0.500
Pt1 0.000 0.500 0.500
Pt2 0.500 0.000 0.500
Pt3 0.500 0.500 0.000
O1 0.066 0.645 0.645
O2 0.233 0.233 0.643
O3 0.233 0.643 0.233
O4 0.355 0.355 0.934
O5 0.355 0.934 0.355
O6 0.357 0.767 0.767
O7 0.643 0.233 0.233
O8 0.645 0.066 0.645
O9 0.645 0.645 0.066
O10 0.767 0.357 0.767
O11 0.767 0.767 0.357
O12 0.934 0.355 0.355
```